No. 1
Diffraction record for PrTcBr. The PXRD pattern is calculated, not measured: it uses the PBE geometry in Alexandria and Cu Kα (weighted mean of Kα1 and Kα2).
Neutral-atom scattering factors, no anomalous dispersion.

The 10 most intense peaks (2θ from 10° to 80°), in order of rising 2θ:
- 3.571 Å, I 18.1
- 2.952 Å, I 100.0
- 2.816 Å, I 32.4
- 2.554 Å, I 16.6
- 2.104 Å, I 14.6
- 2.072 Å, I 47.8
- 1.696 Å, I 19.1
- 1.575 Å, I 20.2
- 1.446 Å, I 18.0
- 1.312 Å, I 16.1

Atomic structure:
a b c (Å): 12.3516 12.3516 12.3516
angles (deg): 19.31 19.31 19.31
Positions (direct):
Pr1 0.0624 0.0624 0.0624
Pr2 0.9376 0.9376 0.9376
Tc1 0.3389 0.3389 0.3389
Tc2 0.6611 0.6611 0.6611
Br1 0.2175 0.2175 0.2175
Br2 0.7825 0.7825 0.7825

***

No. 2
Diffraction record for Pr2TeBr. The PXRD pattern is calculated, not measured: it uses the PBE geometry in Alexandria and Cu Kα (weighted mean of Kα1 and Kα2).
Neutral-atom scattering factors, no anomalous dispersion.

The 10 most intense peaks (2θ from 10° to 80°), in order of rising 2θ:
- 3.125 Å, I 100.0
- 2.273 Å, I 41.3
- 2.152 Å, I 34.8
- 1.838 Å, I 21.5
- 1.713 Å, I 5.6
- 1.563 Å, I 12.6
- 1.429 Å, I 18.7
- 1.368 Å, I 15.9
- 1.312 Å, I 7.0
- 1.288 Å, I 13.2

Atomic structure:
a b c (Å): 4.5452 4.5452 20.5586
angles (deg): 90.00 90.00 120.00
Positions (direct):
Pr1 0.0000 0.0000 0.2477
Pr2 0.0000 0.0000 0.7523
Pr3 0.3333 0.6667 0.4190
Pr4 0.3333 0.6667 0.9143
Pr5 0.6667 0.3333 0.0857
Pr6 0.6667 0.3333 0.5810
Te1 0.0000 0.0000 0.0000
Te2 0.3333 0.6667 0.6667
Te3 0.6667 0.3333 0.3333
Br1 0.0000 0.0000 0.5000
Br2 0.3333 0.6667 0.1667
Br3 0.6667 0.3333 0.8333

***

No. 3
Diffraction record for Pr5Te4Br. The PXRD pattern is calculated, not measured: it uses the PBE geometry in Alexandria and Cu Kα (weighted mean of Kα1 and Kα2).
Neutral-atom scattering factors, no anomalous dispersion.

The 10 most intense peaks (2θ from 10° to 80°), in order of rising 2θ:
- 3.228 Å, I 48.2
- 3.169 Å, I 100.0
- 2.261 Å, I 71.9
- 2.241 Å, I 38.1
- 1.841 Å, I 38.4
- 1.584 Å, I 12.8
- 1.438 Å, I 13.0
- 1.422 Å, I 16.3
- 1.417 Å, I 17.6
- 1.298 Å, I 24.0

Atomic structure:
a b c (Å): 16.4465 16.4465 16.4465
angles (deg): 164.34 164.34 22.22
Positions (direct):
Pr1 0.0000 0.0000 0.0000
Pr2 0.1931 0.1931 0.0000
Pr3 0.3952 0.3952 0.0000
Pr4 0.6048 0.6048 0.0000
Pr5 0.8069 0.8069 0.0000
Te1 0.0964 0.0964 0.0000
Te2 0.2959 0.2959 0.0000
Te3 0.7041 0.7041 0.0000
Te4 0.9036 0.9036 0.0000
Br1 0.5000 0.5000 0.0000